The following is a simulated powder diffraction line list of PrDy2Hg8. It was derived from DFT lattice parameters and positions (GGA-PBE), using copper Kα.

```
PrDy2Hg8
1.0
-2.560 3.729 7.373
2.560 -3.729 7.373
2.560 3.729 -7.373
Pr Dy Hg
1 2 8
direct
0.000 0.000 0.000 Pr
0.309 0.309 0.000 Dy
0.691 0.691 0.000 Dy
0.136 0.848 0.288 Hg
0.157 0.657 0.500 Hg
0.296 0.500 0.796 Hg
0.440 0.152 0.288 Hg
0.560 0.848 0.712 Hg
0.704 0.500 0.204 Hg
0.843 0.343 0.500 Hg
0.864 0.152 0.712 Hg
```

Most intense lines, 15° ≤ 2θ ≤ 90°, sorted by position:
Position (°2θ)	d (Å)	I (rel.)
32.24	2.777	18
34.92	2.570	100
35.06	2.559	36
36.59	2.456	30
51.57	1.772	23
62.80	1.480	19